(1)
This entry pairs a crystal structure of TbCe4Te5 with its theoretical powder diffractogram. Radiation: Cu Kα, 1.54184 Å. Structure: DFT lattice parameters and positions (GGA-PBE).
Neutral-atom scattering factors, no anomalous dispersion.

Atomic structure:
Lattice parameters (Å, degrees): 4.187 4.187 45.101 90.00 90.00 90.00
Space group I4/mmm (No. 139)
One atom of each set of equivalent atoms:
Tb (0.000, 0.000, 0.000) [2 per cell]
Ce (0.000, 0.000, 0.077) [4 per cell]
Ce (0.000, 0.000, 0.374) [4 per cell]
Te (0.000, 0.000, 0.149) [4 per cell]
Te (0.000, 0.000, 0.241) [4 per cell]
Te (0.000, 0.000, 0.500) [2 per cell]

Principal peaks in the range 2θ = 10–90°, most intense first:
- 30.2 deg, I = 100, (1 1 0)
- 33.5 deg, I = 66, (1 0 13)
- 15.7 deg, I = 61, (0 0 8)
- 43.2 deg, I = 37, (2 0 0)
- 34.2 deg, I = 36, (1 1 8)
- 55.8 deg, I = 31, (2 1 13)
- 27.7 deg, I = 22, (0 0 14)
- 71.2 deg, I = 17, (3 1 0)

(2)
This entry pairs a crystal structure of Tb6PdAu5 with its theoretical powder diffractogram. Radiation: Cu Kα, 1.54184 Å. Structure: DFT lattice parameters and positions (GGA-PBE).
Neutral-atom scattering factors, no anomalous dispersion.

Atomic structure:
Lattice parameters (Å, degrees): 5.069 7.261 15.224 90.00 90.00 90.00
Space group Immm (No. 71)
One atom of each set of equivalent atoms:
Tb (0.000, 0.247, 0.000) [4 per cell]
Tb (0.000, 0.252, 0.335) [8 per cell]
Pd (0.000, 0.500, 0.500) [2 per cell]
Au (0.000, 0.000, 0.167) [4 per cell]
Au (0.000, 0.000, 0.500) [2 per cell]
Au (0.000, 0.500, 0.167) [4 per cell]

Principal peaks in the range 2θ = 10–90°, most intense first:
- 35.2 deg, I = 100, (1 2 3)
- 35.4 deg, I = 49, (2 0 0)
- 63.4 deg, I = 37, (3 2 3)
- 63.0 deg, I = 19, (2 4 0)
- 50.9 deg, I = 18, (2 0 6)
- 85.6 deg, I = 12, (3 2 9)
- 74.4 deg, I = 12, (2 4 6)
- 50.3 deg, I = 9, (0 4 0)

(3)
This entry pairs a crystal structure of MnAlTe2 with its theoretical powder diffractogram. Radiation: Cu Kα, 1.54184 Å. Structure: DFT lattice parameters and positions (GGA-PBE).
Neutral-atom scattering factors, no anomalous dispersion.

Atomic structure:
Lattice parameters (Å, degrees): 3.6764 3.6764 27.6066 90.00 90.00 120.00
Space group R-3m (No. 166, hexagonal axes)
One atom of each set of equivalent atoms:
Mn (0.0000, 0.0000, 0.0000) [3 per cell]
Al (0.0000, 0.0000, 0.5000) [3 per cell]
Te (0.0000, 0.0000, 0.3918) [6 per cell]

Principal peaks in the range 2θ = 10–90°, most intense first:
- 32.5 deg, I = 100, (0 1 5)
- 43.4 deg, I = 55, (1 0 10)
- 28.2 deg, I = 53, (1 0 1)
- 38.5 deg, I = 53, (0 1 8)
- 49.6 deg, I = 51, (1 1 0)
- 28.8 deg, I = 35, (0 1 2)
- 30.9 deg, I = 32, (1 0 4)
- 29.1 deg, I = 28, (0 0 9)

(4)
This entry pairs a crystal structure of ZrPH with its theoretical powder diffractogram. Radiation: Cu Kα, 1.54184 Å. Structure: DFT lattice parameters and positions (GGA-PBE).
Neutral-atom scattering factors, no anomalous dispersion.

Atomic structure:
Lattice parameters (Å, degrees): 9.580 5.049 6.649 90.00 91.02 90.00
Space group P2_1/c (No. 14)
One atom of each set of equivalent atoms:
Zr (0.111, 0.134, 0.314) [4 per cell]
Zr (0.345, 0.629, 0.171) [4 per cell]
P (0.121, 0.638, 0.456) [4 per cell]
P (0.377, 0.127, 0.316) [4 per cell]
H (0.172, 0.114, 0.601) [4 per cell]
H (0.396, 0.611, 0.461) [4 per cell]

Principal peaks in the range 2θ = 10–90°, most intense first:
- 38.1 deg, I = 100, (0 2 1)
- 37.6 deg, I = 61, (4 0 0)
- 25.6 deg, I = 53, (2 1 0)
- 32.2 deg, I = 47, (0 1 2)
- 28.8 deg, I = 44, (2 1 -1)
- 44.7 deg, I = 37, (0 1 3)
- 58.5 deg, I = 37, (0 1 4)
- 26.8 deg, I = 37, (0 0 2)

(5)
This entry pairs a crystal structure of KCaBr with its theoretical powder diffractogram. Radiation: Cu Kα, 1.54184 Å. Structure: DFT lattice parameters and positions (GGA-PBE).
Neutral-atom scattering factors, no anomalous dispersion.

Atomic structure:
Lattice parameters (Å, degrees): 16.062 4.144 7.178 90.00 90.00 90.00
Space group Amm2 (No. 38)
One atom of each set of equivalent atoms:
K (0.221, 0.000, 0.000) [4 per cell]
Ca (0.000, 0.000, 0.667) [2 per cell]
Ca (0.500, 0.000, 0.997) [2 per cell]
Br (0.382, 0.000, 0.664) [4 per cell]

Principal peaks in the range 2θ = 10–90°, most intense first:
- 30.0 deg, I = 100, (3 1 1)
- 33.5 deg, I = 68, (4 1 1)
- 24.8 deg, I = 66, (0 0 2)
- 43.7 deg, I = 45, (0 2 0)
- 37.6 deg, I = 38, (5 0 2)
- 27.8 deg, I = 21, (5 0 0)
- 27.2 deg, I = 20, (2 1 1)
- 52.6 deg, I = 19, (5 2 0)

(6)
This entry pairs a crystal structure of Pr13Ag2 with its theoretical powder diffractogram. Radiation: Cu Kα, 1.54184 Å. Structure: DFT lattice parameters and positions (GGA-PBE).
Neutral-atom scattering factors, no anomalous dispersion.

Atomic structure:
Lattice parameters (Å, degrees): 6.605 8.736 9.644 68.64 78.60 81.77
Space group P-1 (No. 2)
One atom of each set of equivalent atoms:
Pr (0.000, 0.000, 0.000) [1 per cell]
Pr (0.050, 0.420, 0.701) [2 per cell]
Pr (0.209, 0.177, 0.234) [2 per cell]
Pr (0.250, 0.596, 0.950) [2 per cell]
Pr (0.283, 0.989, 0.645) [2 per cell]
Pr (0.464, 0.372, 0.413) [2 per cell]
Pr (0.475, 0.796, 0.158) [2 per cell]
Ag (0.127, 0.788, 0.453) [2 per cell]

Principal peaks in the range 2θ = 10–90°, most intense first:
- 30.6 deg, I = 100, (1 1 -2)
- 32.3 deg, I = 31, (1 3 1)
- 30.3 deg, I = 30, (2 1 2)
- 32.4 deg, I = 28, (-2 1 1)
- 56.7 deg, I = 15, (0 5 0)
- 46.2 deg, I = 12, (3 2 0)
- 40.9 deg, I = 10, (1 0 4)
- 56.6 deg, I = 10, (2 4 -1)